Diffraction record for Gd3Co4Ge13. The powder XRD pattern is computed, not measured: it uses a structure optimized by DFT (PBE) and Cu Kα (λ = 1.5418 Å).

Cell lengths 8.8203, 8.8203, 8.8203 Å; angles 90.00, 90.00, 90.00 degrees
Positions (direct):
Gd (0.0000, 0.2500, 0.5000)
Gd (0.0000, 0.7500, 0.5000)
Gd (0.2500, 0.5000, 0.0000)
Gd (0.5000, 0.0000, 0.2500)
Gd (0.5000, 0.0000, 0.7500)
Gd (0.7500, 0.5000, 0.0000)
Co (0.2500, 0.2500, 0.2500)
Co (0.2500, 0.2500, 0.7500)
Co (0.2500, 0.7500, 0.2500)
Co (0.2500, 0.7500, 0.7500)
Co (0.7500, 0.2500, 0.2500)
Co (0.7500, 0.2500, 0.7500)
Co (0.7500, 0.7500, 0.2500)
Co (0.7500, 0.7500, 0.7500)
Ge (0.0000, 0.0000, 0.0000)
Ge (0.0000, 0.3023, 0.1534)
Ge (0.0000, 0.3023, 0.8466)
Ge (0.0000, 0.6977, 0.1534)
Ge (0.0000, 0.6977, 0.8466)
Ge (0.1534, 0.0000, 0.3023)
Ge (0.1534, 0.0000, 0.6977)
Ge (0.1977, 0.5000, 0.3466)
Ge (0.1977, 0.5000, 0.6534)
Ge (0.3023, 0.1534, 0.0000)
Ge (0.3023, 0.8466, 0.0000)
Ge (0.3466, 0.1977, 0.5000)
Ge (0.3466, 0.8023, 0.5000)
Ge (0.5000, 0.3466, 0.1977)
Ge (0.5000, 0.3466, 0.8023)
Ge (0.5000, 0.5000, 0.5000)
Ge (0.5000, 0.6534, 0.1977)
Ge (0.5000, 0.6534, 0.8023)
Ge (0.6534, 0.1977, 0.5000)
Ge (0.6534, 0.8023, 0.5000)
Ge (0.6977, 0.1534, 0.0000)
Ge (0.6977, 0.8466, 0.0000)
Ge (0.8023, 0.5000, 0.3466)
Ge (0.8023, 0.5000, 0.6534)
Ge (0.8466, 0.0000, 0.3023)
Ge (0.8466, 0.0000, 0.6977)

The 6 most intense peaks (2θ from 10° to 80°), by angle:
2theta	d (Å)	I/Imax
22.5	3.945	12.9
36.7	2.446	100.0
38.2	2.357	37.7
40.9	2.205	24.9
65.2	1.431	14.7
70.9	1.330	13.8

***

Diffraction record for Gd2CoH. The powder XRD pattern is computed, not measured: it uses a structure optimized by DFT (PBE) and Cu Kα (λ = 1.5418 Å).

Cell lengths 6.4137, 6.4137, 6.4137 Å; angles 34.41, 34.41, 34.41 degrees
Positions (direct):
Gd (0.2468, 0.2468, 0.2468)
Gd (0.7532, 0.7532, 0.7532)
Co (0.0000, 0.0000, 0.0000)
H (0.5000, 0.5000, 0.5000)

The 6 most intense peaks (2θ from 10° to 80°), by angle:
2theta	d (Å)	I/Imax
28.9	3.089	64.5
29.6	3.014	19.9
33.7	2.658	100.0
47.9	1.897	37.1
48.9	1.862	34.2
57.4	1.606	19.3

***

Diffraction record for GdHoCo2. The powder XRD pattern is computed, not measured: it uses a structure optimized by DFT (PBE) and Cu Kα (λ = 1.5418 Å).

Cell lengths 4.7337, 4.7337, 4.7337 Å; angles 60.00, 60.00, 60.00 degrees
Positions (direct):
Gd (0.0000, 0.0000, 0.0000)
Ho (0.5000, 0.5000, 0.5000)
Co (0.2500, 0.2500, 0.2500)
Co (0.7500, 0.7500, 0.7500)

The 6 most intense peaks (2θ from 10° to 80°), by angle:
2theta	d (Å)	I/Imax
26.6	3.347	23.9
38.0	2.367	100.0
47.0	1.933	7.2
54.9	1.674	17.0
62.0	1.497	9.9
68.7	1.366	34.0

***

Diffraction record for GdNpCoIr. The powder XRD pattern is computed, not measured: it uses a structure optimized by DFT (PBE) and Cu Kα (λ = 1.5418 Å).

Cell lengths 4.8009, 4.8009, 4.8009 Å; angles 60.00, 60.00, 60.00 degrees
Positions (direct):
Gd (0.0000, 0.0000, 0.0000)
Np (0.5000, 0.5000, 0.5000)
Co (0.7500, 0.7500, 0.7500)
Ir (0.2500, 0.2500, 0.2500)

The 6 most intense peaks (2θ from 10° to 80°), by angle:
2theta	d (Å)	I/Imax
22.7	3.920	12.4
37.5	2.400	100.0
44.2	2.047	7.0
54.0	1.697	17.6
67.6	1.386	35.9
79.9	1.200	11.3

***

Diffraction record for LaGdMgCo. The powder XRD pattern is computed, not measured: it uses a structure optimized by DFT (PBE) and Cu Kα (λ = 1.5418 Å).

Cell lengths 5.1841, 5.1841, 5.1841 Å; angles 60.00, 60.00, 60.00 degrees
Positions (direct):
La (0.0000, 0.0000, 0.0000)
Gd (0.5000, 0.5000, 0.5000)
Mg (0.2500, 0.2500, 0.2500)
Co (0.7500, 0.7500, 0.7500)

The 6 most intense peaks (2θ from 10° to 80°), by angle:
2theta	d (Å)	I/Imax
24.3	3.666	35.2
34.6	2.592	100.0
49.7	1.833	17.7
56.1	1.639	14.8
62.0	1.497	36.0
73.0	1.296	11.0

***

Diffraction record for GdCo4Tc. The powder XRD pattern is computed, not measured: it uses a structure optimized by DFT (PBE) and Cu Kα (λ = 1.5418 Å).

Cell lengths 4.9322, 4.9322, 4.9322 Å; angles 60.00, 60.00, 60.00 degrees
Positions (direct):
Gd (0.0000, 0.0000, 0.0000)
Co (0.1276, 0.6241, 0.6241)
Co (0.6241, 0.1276, 0.6241)
Co (0.6241, 0.6241, 0.1276)
Co (0.6241, 0.6241, 0.6241)
Tc (0.2500, 0.2500, 0.2500)

The 6 most intense peaks (2θ from 10° to 80°), by angle:
2theta	d (Å)	I/Imax
36.4	2.466	55.6
43.0	2.103	100.0
45.0	2.014	19.7
65.6	1.424	19.7
70.1	1.342	29.6
77.4	1.233	22.0

***

Diffraction record for GdZrCo4. The powder XRD pattern is computed, not measured: it uses a structure optimized by DFT (PBE) and Cu Kα (λ = 1.5418 Å).

Cell lengths 4.9925, 4.9925, 4.9925 Å; angles 60.00, 60.00, 60.00 degrees
Positions (direct):
Gd (0.0000, 0.0000, 0.0000)
Zr (0.2500, 0.2500, 0.2500)
Co (0.1261, 0.6246, 0.6246)
Co (0.6246, 0.1261, 0.6246)
Co (0.6246, 0.6246, 0.1261)
Co (0.6246, 0.6246, 0.6246)

The 6 most intense peaks (2θ from 10° to 80°), by angle:
2theta	d (Å)	I/Imax
36.0	2.496	53.7
42.5	2.129	100.0
44.4	2.038	20.6
64.7	1.441	19.1
69.1	1.359	29.7
76.3	1.248	22.0

***

Diffraction record for Co4Ge. The powder XRD pattern is computed, not measured: it uses a structure optimized by DFT (PBE) and Cu Kα (λ = 1.5418 Å).

Cell lengths 12.1196, 3.5229, 5.6696 Å; angles 90.00, 90.00, 90.00 degrees
Positions (direct):
Co (0.0125, 0.2500, 0.1447)
Co (0.0578, 0.7500, 0.4480)
Co (0.1255, 0.2500, 0.7512)
Co (0.1507, 0.7500, 0.0761)
Co (0.3493, 0.2500, 0.5761)
Co (0.3745, 0.7500, 0.2512)
Co (0.4422, 0.2500, 0.9480)
Co (0.4875, 0.7500, 0.6447)
Co (0.5125, 0.2500, 0.3553)
Co (0.5578, 0.7500, 0.0520)
Co (0.6255, 0.2500, 0.7488)
Co (0.6507, 0.7500, 0.4239)
Co (0.8493, 0.2500, 0.9239)
Co (0.8745, 0.7500, 0.2488)
Co (0.9422, 0.2500, 0.5520)
Co (0.9875, 0.7500, 0.8553)
Ge (0.2043, 0.2500, 0.3250)
Ge (0.2957, 0.7500, 0.8250)
Ge (0.7043, 0.2500, 0.1750)
Ge (0.7957, 0.7500, 0.6750)

The 6 most intense peaks (2θ from 10° to 80°), by angle:
2theta	d (Å)	I/Imax
42.5	2.129	100.0
43.6	2.075	90.5
46.9	1.938	88.6
47.8	1.903	32.5
48.3	1.883	40.3
51.9	1.761	57.3

***

Diffraction record for Co7Ge4. The powder XRD pattern is computed, not measured: it uses a structure optimized by DFT (PBE) and Cu Kα (λ = 1.5418 Å).

Cell lengths 3.9714, 3.9714, 9.9272 Å; angles 90.00, 90.00, 120.00 degrees
Positions (direct):
Co (0.0000, 0.0000, 0.0000)
Co (0.3333, 0.6667, 0.1272)
Co (0.3333, 0.6667, 0.3811)
Co (0.3333, 0.6667, 0.6189)
Co (0.3333, 0.6667, 0.8728)
Co (0.6667, 0.3333, 0.2613)
Co (0.6667, 0.3333, 0.7387)
Ge (0.0000, 0.0000, 0.2480)
Ge (0.0000, 0.0000, 0.7520)
Ge (0.6667, 0.3333, 0.0000)
Ge (0.6667, 0.3333, 0.5000)

The 6 most intense peaks (2θ from 10° to 80°), by angle:
2theta	d (Å)	I/Imax
27.4	3.250	7.8
31.6	2.827	11.9
45.0	2.013	92.4
45.7	1.986	100.0
59.6	1.550	9.4
66.1	1.413	27.2

***

Diffraction record for Co3Ge4. The powder XRD pattern is computed, not measured: it uses a structure optimized by DFT (PBE) and Cu Kα (λ = 1.5418 Å).

Cell lengths 5.9785, 5.9785, 4.8350 Å; angles 100.71, 100.71, 36.01 degrees
Positions (direct):
Co (0.0000, 0.0000, 0.0000)
Co (0.2045, 0.2045, 0.3326)
Co (0.7955, 0.7955, 0.6674)
Ge (0.1786, 0.1786, 0.8200)
Ge (0.4364, 0.4364, 0.6877)
Ge (0.5636, 0.5636, 0.3123)
Ge (0.8214, 0.8214, 0.1800)

The 6 most intense peaks (2θ from 10° to 80°), by angle:
2theta	d (Å)	I/Imax
32.7	2.741	57.1
34.2	2.621	69.5
41.6	2.171	41.0
47.6	1.910	100.0
48.1	1.893	90.8
49.3	1.848	52.3

***

Diffraction record for Co2GeH2. The powder XRD pattern is computed, not measured: it uses a structure optimized by DFT (PBE) and Cu Kα (λ = 1.5418 Å).

Cell lengths 4.6356, 4.6356, 4.7361 Å; angles 105.56, 105.56, 113.22 degrees
Positions (direct):
Co (0.0747, 0.9253, 0.7500)
Co (0.3035, 0.6965, 0.2500)
Co (0.6965, 0.3035, 0.7500)
Co (0.9253, 0.0747, 0.2500)
Ge (0.3819, 0.6181, 0.7500)
Ge (0.6181, 0.3819, 0.2500)
H (0.0178, 0.2579, 0.9987)
H (0.2579, 0.0178, 0.4987)
H (0.7421, 0.9822, 0.5013)
H (0.9822, 0.7421, 0.0013)

The 6 most intense peaks (2θ from 10° to 80°), by angle:
2theta	d (Å)	I/Imax
40.4	2.233	51.7
40.5	2.228	88.1
41.0	2.203	100.0
42.8	2.114	75.5
43.8	2.068	68.5
51.0	1.790	53.0

***

Diffraction record for PaCo4GeH6. The powder XRD pattern is computed, not measured: it uses a structure optimized by DFT (PBE) and Cu Kα (λ = 1.5418 Å).

Cell lengths 4.2247, 4.2247, 6.4898 Å; angles 90.00, 90.00, 120.00 degrees
Positions (direct):
Pa (0.0000, 0.0000, 0.0000)
Co (0.3333, 0.6667, 0.3158)
Co (0.3333, 0.6667, 0.6842)
Co (0.6667, 0.3333, 0.3158)
Co (0.6667, 0.3333, 0.6842)
Ge (0.0000, 0.0000, 0.5000)
H (0.0000, 0.5000, 0.1478)
H (0.0000, 0.5000, 0.8522)
H (0.5000, 0.0000, 0.1478)
H (0.5000, 0.0000, 0.8522)
H (0.5000, 0.5000, 0.1478)
H (0.5000, 0.5000, 0.8522)

The 6 most intense peaks (2θ from 10° to 80°), by angle:
2theta	d (Å)	I/Imax
24.3	3.659	28.4
28.0	3.187	54.4
37.0	2.428	100.0
42.8	2.112	66.5
57.9	1.594	26.9
74.6	1.272	25.5

***

Diffraction record for PaCoGeH. The powder XRD pattern is computed, not measured: it uses a structure optimized by DFT (PBE) and Cu Kα (λ = 1.5418 Å).

Cell lengths 4.2101, 4.2101, 3.5856 Å; angles 90.00, 90.00, 120.00 degrees
Positions (direct):
Pa (0.0000, 0.0000, 0.0000)
Co (0.6667, 0.3333, 0.5000)
Ge (0.3333, 0.6667, 0.5000)
H (0.6667, 0.3333, 0.0000)

The 6 most intense peaks (2θ from 10° to 80°), by angle:
2theta	d (Å)	I/Imax
24.4	3.646	34.5
35.1	2.556	100.0
43.0	2.105	43.9
56.6	1.625	25.7
68.8	1.365	21.6
73.6	1.286	23.7

***

Diffraction record for ThCo2GeH. The powder XRD pattern is computed, not measured: it uses a structure optimized by DFT (PBE) and Cu Kα (λ = 1.5418 Å).

Cell lengths 5.6722, 5.6722, 6.5950 Å; angles 90.00, 90.00, 139.23 degrees
Positions (direct):
Th (0.0808, 0.9192, 0.7500)
Th (0.9192, 0.0808, 0.2500)
Co (0.3407, 0.6593, 0.5503)
Co (0.3407, 0.6593, 0.9497)
Co (0.6593, 0.3407, 0.0503)
Co (0.6593, 0.3407, 0.4497)
Ge (0.2038, 0.7962, 0.2500)
Ge (0.7962, 0.2038, 0.7500)
H (0.5000, 0.5000, 0.0000)
H (0.5000, 0.5000, 0.5000)

The 6 most intense peaks (2θ from 10° to 80°), by angle:
2theta	d (Å)	I/Imax
21.5	4.139	19.5
24.0	3.704	25.8
36.5	2.464	100.0
36.7	2.450	63.6
45.9	1.976	19.7
65.9	1.417	18.4